Entry 1:
Ac12SnPb6: simulated powder X-ray diffraction pattern (Cu Kα, 1.54184 Å), based on a GGA-PBE-relaxed structure.

Main lines, low angle first (2θ = 10–80°):
| 2θ/deg | d_spacing | I_rel | index |
| --- | --- | --- | --- |
| 19.37 | 4.583 | 57.8 | 3 -1 1 |
| 22.49 | 3.953 | 34.2 | 1 2 2 |
| 27.25 | 3.272 | 44.1 | 1 0 4 |
| 28.24 | 3.160 | 69.8 | 4 -1 2 |
| 31.82 | 2.812 | 100.0 | 4 1 0 |
| 32.22 | 2.779 | 87.3 | 3 -1 4 |
| 33.07 | 2.709 | 27.6 | 2 3 2 |
| 41.22 | 2.190 | 21.8 | 1 5 2 |
| 45.92 | 1.976 | 23.4 | 2 4 4 |
| 60.85 | 1.522 | 22.9 | 7 -2 6 |

Structure:
```
data_Ac12SnPb6
_symmetry_space_group_name_H-M 'R -3'
_symmetry_Int_Tables_number 148
_symmetry_space_group_name_Hall '-R 3'
_cell_length_a 14.8799
_cell_length_b 14.8799
_cell_length_c 13.5321
_cell_angle_alpha 90.00
_cell_angle_beta 90.00
_cell_angle_gamma 120.00
loop_
_atom_site_label
_atom_site_type_symbol
_atom_site_fract_x
_atom_site_fract_y
_atom_site_fract_z
_atom_site_occupancy
Ac1 Ac 0.0313 0.8321 0.3877 1
Ac2 Ac 0.0528 0.8406 0.8825 1
Sn1 Sn 0.0000 0.0000 0.0000 1
Pb1 Pb 0.0443 0.7722 0.6458 1
```

Entry 2:
Ac2SnPb4: simulated powder X-ray diffraction pattern (Cu Kα, 1.54184 Å), based on a GGA-PBE-relaxed structure.

Main lines, low angle first (2θ = 10–80°):
| 2θ/deg | d_spacing | I_rel | index |
| --- | --- | --- | --- |
| 31.13 | 2.873 | 100.0 | 2 2 0 |
| 31.24 | 2.863 | 99.1 | 2 2 -2 |
| 35.06 | 2.559 | 36.8 | 0 0 2 |
| 36.46 | 2.464 | 33.1 | 0 4 0 |
| 36.95 | 2.433 | 32.0 | 4 0 -2 |
| 51.48 | 1.775 | 25.3 | 0 4 2 |
| 52.89 | 1.731 | 23.4 | 4 4 -2 |
| 60.39 | 1.533 | 15.9 | 2 2 2 |
| 60.58 | 1.528 | 15.8 | 2 2 -4 |
| 62.36 | 1.489 | 28.8 | 2 6 0 |

Structure:
```
data_Ac2SnPb4
_symmetry_space_group_name_H-M 'C 1 2/m 1'
_symmetry_Int_Tables_number 12
_cell_length_a 9.731
_cell_length_b 9.856
_cell_length_c 7.045
_cell_angle_alpha 90.00
_cell_angle_beta 133.39
_cell_angle_gamma 90.00
loop_
_symmetry_equiv_pos_as_xyz
'x,y,z'
'-x,-y,-z'
'-x,y,-z'
'x,-y,z'
'x+1/2,y+1/2,z'
'-x+1/2,-y+1/2,-z'
'-x+1/2,y+1/2,-z'
'x+1/2,-y+1/2,z'
loop_
_atom_site_label
_atom_site_type_symbol
_atom_site_fract_x
_atom_site_fract_y
_atom_site_fract_z
_atom_site_occupancy
Ac1 Ac 0.250 0.250 0.000 1
Sn1 Sn 0.000 0.000 0.000 1
Pb1 Pb 0.000 0.000 0.500 1
Pb2 Pb 0.000 0.500 0.500 1
Pb3 Pb 0.250 0.250 0.500 1
```

Entry 3:
AcTl2SnPb: simulated powder X-ray diffraction pattern (Cu Kα, 1.54184 Å), based on a GGA-PBE-relaxed structure.

Main lines, low angle first (2θ = 10–80°):
| 2θ/deg | d_spacing | I_rel | index |
| --- | --- | --- | --- |
| 20.53 | 4.325 | 39.3 | 0 4 1 |
| 28.94 | 3.085 | 46.4 | 1 3 1 |
| 29.23 | 3.055 | 51.5 | 0 2 3 |
| 30.43 | 2.938 | 100.0 | 1 1 2 |
| 33.17 | 2.701 | 55.6 | 1 5 0 |
| 33.41 | 2.682 | 98.0 | 0 6 2 |
| 37.00 | 2.429 | 20.8 | 1 1 3 |
| 40.46 | 2.230 | 25.2 | 1 7 0 |
| 48.27 | 1.885 | 22.2 | 2 0 0 |
| 59.97 | 1.542 | 37.8 | 2 6 2 |

Structure:
```
data_AcTl2SnPb
_symmetry_space_group_name_H-M 'C m c m'
_symmetry_Int_Tables_number 63
_symmetry_space_group_name_Hall '-C 2c 2'
_cell_length_a 3.771
_cell_length_b 19.351
_cell_length_c 9.661
_cell_angle_alpha 90.00
_cell_angle_beta 90.00
_cell_angle_gamma 90.00
loop_
_atom_site_label
_atom_site_type_symbol
_atom_site_fract_x
_atom_site_fract_y
_atom_site_fract_z
_atom_site_occupancy
Ac1 Ac 0.000 0.087 0.250 1
Tl1 Tl 0.000 0.334 0.059 1
Sn1 Sn 0.000 0.257 0.750 1
Pb1 Pb 0.000 0.500 0.000 1
```

Entry 4:
SrAc4Pb2: simulated powder X-ray diffraction pattern (Cu Kα, 1.54184 Å), based on a GGA-PBE-relaxed structure.

Main lines, low angle first (2θ = 10–80°):
| 2θ/deg | d_spacing | I_rel | index |
| --- | --- | --- | --- |
| 27.06 | 3.296 | 57.6 | 2 -1 1 |
| 27.35 | 3.261 | 37.9 | 0 2 1 |
| 27.48 | 3.246 | 36.7 | 2 0 1 |
| 28.03 | 3.184 | 89.0 | 0 1 -3 |
| 28.25 | 3.159 | 35.7 | 1 2 -2 |
| 28.37 | 3.145 | 40.0 | 2 1 -2 |
| 29.97 | 2.981 | 42.4 | 2 -2 0 |
| 32.43 | 2.760 | 100.0 | 1 2 1 |
| 35.41 | 2.535 | 29.5 | 0 3 -2 |
| 35.72 | 2.514 | 28.2 | 3 0 -2 |

Structure:
```
data_SrAc4Pb2
_symmetry_space_group_name_H-M 'P 1'
_symmetry_Int_Tables_number 1
_cell_length_a 7.929
_cell_length_b 7.995
_cell_length_c 9.913
_cell_angle_alpha 102.96
_cell_angle_beta 102.69
_cell_angle_gamma 97.00
loop_
_symmetry_equiv_pos_as_xyz
'x,y,z'
loop_
_atom_site_label
_atom_site_type_symbol
_atom_site_fract_x
_atom_site_fract_y
_atom_site_fract_z
_atom_site_occupancy
Sr1 Sr 0.000 0.000 0.000 1
Sr2 Sr 0.190 0.807 0.503 1
Ac1 Ac 0.188 0.275 0.431 1
Ac2 Ac 0.258 0.510 0.106 1
Ac3 Ac 0.467 0.993 0.932 1
Ac4 Ac 0.492 0.521 0.782 1
Ac5 Ac 0.703 0.065 0.607 1
Ac6 Ac 0.710 0.298 0.283 1
Ac7 Ac 0.742 0.766 0.211 1
Ac8 Ac 0.958 0.544 0.713 1
Pb1 Pb 0.160 0.182 0.753 1
Pb2 Pb 0.372 0.962 0.254 1
Pb3 Pb 0.555 0.622 0.471 1
Pb4 Pb 0.811 0.361 0.973 1
```

Entry 5:
SrAc3Pb4: simulated powder X-ray diffraction pattern (Cu Kα, 1.54184 Å), based on a GGA-PBE-relaxed structure.

Main lines, low angle first (2θ = 10–80°):
| 2θ/deg | d_spacing | I_rel | index |
| --- | --- | --- | --- |
| 29.86 | 2.992 | 100.0 | 1 1 2 |
| 32.34 | 2.768 | 20.3 | 0 0 4 |
| 32.83 | 2.728 | 19.6 | 0 2 0 |
| 38.38 | 2.345 | 13.0 | 2 0 0 |
| 46.75 | 1.943 | 14.9 | 0 2 4 |
| 51.04 | 1.789 | 11.6 | 2 0 4 |
| 56.15 | 1.638 | 17.4 | 1 1 6 |
| 56.78 | 1.621 | 17.0 | 1 3 2 |
| 62.03 | 1.496 | 13.0 | 2 2 4 |
| 64.21 | 1.450 | 11.9 | 3 1 2 |

Structure:
```
data_SrAc3Pb4
_symmetry_space_group_name_H-M 'P m m m'
_symmetry_Int_Tables_number 47
_cell_length_a 4.690
_cell_length_b 5.456
_cell_length_c 11.072
_cell_angle_alpha 90.00
_cell_angle_beta 90.00
_cell_angle_gamma 90.00
loop_
_symmetry_equiv_pos_as_xyz
'x,y,z'
'-x,-y,-z'
'-x,-y,z'
'x,y,-z'
'x,-y,-z'
'-x,y,z'
'-x,y,-z'
'x,-y,z'
loop_
_atom_site_label
_atom_site_type_symbol
_atom_site_fract_x
_atom_site_fract_y
_atom_site_fract_z
_atom_site_occupancy
Sr1 Sr 0.000 0.000 0.000 1
Ac1 Ac 0.000 0.000 0.500 1
Ac2 Ac 0.000 0.500 0.245 1
Pb1 Pb 0.500 0.000 0.248 1
Pb2 Pb 0.500 0.500 0.000 1
Pb3 Pb 0.500 0.500 0.500 1
```

Entry 6:
Sr3AcPb3: simulated powder X-ray diffraction pattern (Cu Kα, 1.54184 Å), based on a GGA-PBE-relaxed structure.

Main lines, low angle first (2θ = 10–80°):
| 2θ/deg | d_spacing | I_rel | index |
| --- | --- | --- | --- |
| 10.56 | 8.376 | 24.8 | 1 1 0 |
| 14.93 | 5.934 | 13.1 | 0 2 0 |
| 30.12 | 2.967 | 26.0 | 0 4 0 |
| 30.24 | 2.955 | 26.9 | 4 0 0 |
| 31.15 | 2.871 | 100.0 | 2 2 2 |
| 43.20 | 2.094 | 19.1 | 4 4 0 |
| 54.14 | 1.694 | 18.4 | 2 6 2 |
| 54.29 | 1.690 | 20.0 | 6 2 2 |
| 55.99 | 1.642 | 10.9 | 0 4 4 |
| 64.97 | 1.435 | 12.2 | 4 4 4 |

Structure:
```
data_Sr3AcPb3
_symmetry_space_group_name_H-M 'C m m m'
_symmetry_Int_Tables_number 65
_symmetry_space_group_name_Hall '-C 2 2'
_cell_length_a 11.822
_cell_length_b 11.870
_cell_length_c 7.887
_cell_angle_alpha 90.00
_cell_angle_beta 90.00
_cell_angle_gamma 90.00
loop_
_atom_site_label
_atom_site_type_symbol
_atom_site_fract_x
_atom_site_fract_y
_atom_site_fract_z
_atom_site_occupancy
Sr1 Sr 0.000 0.241 0.000 1
Sr2 Sr 0.225 0.000 0.500 1
Sr3 Sr 0.243 0.500 0.000 1
Ac1 Ac 0.000 0.275 0.500 1
Pb1 Pb 0.000 0.500 0.239 1
Pb2 Pb 0.250 0.250 0.248 1
```

Entry 7:
SrAcPb3: simulated powder X-ray diffraction pattern (Cu Kα, 1.54184 Å), based on a GGA-PBE-relaxed structure.

Main lines, low angle first (2θ = 10–80°):
| 2θ/deg | d_spacing | I_rel | index |
| --- | --- | --- | --- |
| 18.13 | 4.893 | 22.8 | 0 0 2 |
| 27.71 | 3.220 | 50.9 | 2 0 2 |
| 29.60 | 3.017 | 100.0 | 1 2 2 |
| 29.68 | 3.010 | 82.3 | 2 1 2 |
| 33.05 | 2.710 | 36.6 | 1 3 0 |
| 33.19 | 2.699 | 35.9 | 3 1 0 |
| 36.74 | 2.446 | 38.1 | 0 0 4 |
| 37.94 | 2.371 | 28.9 | 3 2 0 |
| 50.24 | 1.816 | 23.1 | 1 3 4 |
| 50.34 | 1.813 | 22.8 | 3 1 4 |

Structure:
```
data_SrAcPb3
_symmetry_space_group_name_H-M 'P n n m'
_symmetry_Int_Tables_number 58
_cell_length_a 8.530
_cell_length_b 8.575
_cell_length_c 9.786
_cell_angle_alpha 90.00
_cell_angle_beta 90.00
_cell_angle_gamma 90.00
loop_
_symmetry_equiv_pos_as_xyz
'x,y,z'
'-x,-y,-z'
'-x,-y,z'
'x,y,-z'
'x+1/2,-y+1/2,-z+1/2'
'-x+1/2,y+1/2,z+1/2'
'-x+1/2,y+1/2,-z+1/2'
'x+1/2,-y+1/2,z+1/2'
loop_
_atom_site_label
_atom_site_type_symbol
_atom_site_fract_x
_atom_site_fract_y
_atom_site_fract_z
_atom_site_occupancy
Sr1 Sr 0.176 0.173 0.000 1
Ac1 Ac 0.176 0.172 0.500 1
Pb1 Pb 0.000 0.500 0.250 1
Pb2 Pb 0.127 0.872 0.251 1
```

Entry 8:
Sr2Ac2Pb3: simulated powder X-ray diffraction pattern (Cu Kα, 1.54184 Å), based on a GGA-PBE-relaxed structure.

Main lines, low angle first (2θ = 10–80°):
| 2θ/deg | d_spacing | I_rel | index |
| --- | --- | --- | --- |
| 16.14 | 5.491 | 19.7 | 0 0 1 |
| 22.31 | 3.985 | 15.5 | 3 1 0 |
| 30.52 | 2.929 | 100.0 | 3 1 1 |
| 30.85 | 2.898 | 24.6 | 2 0 -2 |
| 32.19 | 2.781 | 22.1 | 0 2 0 |
| 45.19 | 2.007 | 17.6 | 2 2 -2 |
| 53.17 | 1.723 | 10.4 | 6 0 2 |
| 54.66 | 1.679 | 20.0 | 1 1 3 |
| 56.36 | 1.632 | 18.7 | 3 3 1 |
| 63.53 | 1.464 | 12.4 | 6 2 2 |

Structure:
```
data_Sr2Ac2Pb3
_symmetry_space_group_name_H-M 'C 1 2/m 1'
_symmetry_Int_Tables_number 12
_cell_length_a 18.088
_cell_length_b 5.562
_cell_length_c 5.797
_cell_angle_alpha 90.00
_cell_angle_beta 108.67
_cell_angle_gamma 90.00
loop_
_symmetry_equiv_pos_as_xyz
'x,y,z'
'-x,-y,-z'
'-x,y,-z'
'x,-y,z'
'x+1/2,y+1/2,z'
'-x+1/2,-y+1/2,-z'
'-x+1/2,y+1/2,-z'
'x+1/2,-y+1/2,z'
loop_
_atom_site_label
_atom_site_type_symbol
_atom_site_fract_x
_atom_site_fract_y
_atom_site_fract_z
_atom_site_occupancy
Sr1 Sr 0.119 0.000 0.118 1
Ac1 Ac 0.128 0.500 0.627 1
Pb1 Pb 0.000 0.000 0.500 1
Pb2 Pb 0.245 0.500 0.244 1
```

Entry 9:
Sr2Ac5Pb5: simulated powder X-ray diffraction pattern (Cu Kα, 1.54184 Å), based on a GGA-PBE-relaxed structure.

Main lines, low angle first (2θ = 10–80°):
| 2θ/deg | d_spacing | I_rel | index |
| --- | --- | --- | --- |
| 19.68 | 4.512 | 49.7 | 2 0 2 |
| 25.06 | 3.554 | 100.0 | 3 1 -1 |
| 25.48 | 3.496 | 83.5 | 2 0 3 |
| 26.42 | 3.374 | 78.3 | 3 1 -2 |
| 27.49 | 3.245 | 60.7 | 3 1 1 |
| 29.29 | 3.049 | 67.6 | 3 1 -3 |
| 31.79 | 2.814 | 65.2 | 1 1 -4 |
| 34.44 | 2.604 | 66.5 | 1 1 4 |
| 37.48 | 2.399 | 56.9 | 6 0 -4 |
| 37.91 | 2.374 | 64.2 | 0 2 0 |

Structure:
```
data_Sr2Ac5Pb5
_symmetry_space_group_name_H-M 'C 1 2/m 1'
_symmetry_Int_Tables_number 12
_cell_length_a 16.185
_cell_length_b 4.747
_cell_length_c 14.004
_cell_angle_alpha 90.00
_cell_angle_beta 106.00
_cell_angle_gamma 90.00
loop_
_symmetry_equiv_pos_as_xyz
'x,y,z'
'-x,-y,-z'
'-x,y,-z'
'x,-y,z'
'x+1/2,y+1/2,z'
'-x+1/2,-y+1/2,-z'
'-x+1/2,y+1/2,-z'
'x+1/2,-y+1/2,z'
loop_
_atom_site_label
_atom_site_type_symbol
_atom_site_fract_x
_atom_site_fract_y
_atom_site_fract_z
_atom_site_occupancy
Sr1 Sr 0.047 0.000 0.282 1
Ac1 Ac 0.000 0.500 0.000 1
Ac2 Ac 0.156 0.500 0.544 1
Ac3 Ac 0.240 0.500 0.854 1
Pb1 Pb 0.000 0.000 0.500 1
Pb2 Pb 0.116 0.000 0.925 1
Pb3 Pb 0.206 0.500 0.305 1
```

Entry 10:
Sr3Ac3Pb4: simulated powder X-ray diffraction pattern (Cu Kα, 1.54184 Å), based on a GGA-PBE-relaxed structure.

Main lines, low angle first (2θ = 10–80°):
| 2θ/deg | d_spacing | I_rel | index |
| --- | --- | --- | --- |
| 14.25 | 6.215 | 16.8 | 0 0 2 |
| 27.03 | 3.299 | 16.1 | 1 2 2 |
| 28.92 | 3.088 | 100.0 | 1 3 1 |
| 32.20 | 2.780 | 13.8 | 0 2 4 |
| 32.32 | 2.770 | 12.3 | 0 4 2 |
| 35.89 | 2.502 | 16.7 | 2 0 0 |
| 41.15 | 2.194 | 12.2 | 0 4 4 |
| 49.02 | 1.858 | 16.5 | 2 2 4 |
| 59.81 | 1.546 | 6.9 | 1 7 3 |
| 60.29 | 1.535 | 13.0 | 3 3 1 |

Structure:
```
data_Sr3Ac3Pb4
_symmetry_space_group_name_H-M 'A m m 2'
_symmetry_Int_Tables_number 38
_cell_length_a 5.004
_cell_length_b 12.370
_cell_length_c 12.449
_cell_angle_alpha 90.00
_cell_angle_beta 90.00
_cell_angle_gamma 90.00
loop_
_symmetry_equiv_pos_as_xyz
'x,y,z'
'-x,-y,z'
'-x,y,z'
'x,-y,z'
'x,y+1/2,z+1/2'
'-x,-y+1/2,z+1/2'
'-x,y+1/2,z+1/2'
'x,-y+1/2,z+1/2'
loop_
_atom_site_label
_atom_site_type_symbol
_atom_site_fract_x
_atom_site_fract_y
_atom_site_fract_z
_atom_site_occupancy
Sr1 Sr 0.000 0.000 0.000 1
Sr2 Sr 0.500 0.248 0.078 1
Ac1 Ac 0.000 0.000 0.658 1
Ac2 Ac 0.000 0.172 0.329 1
Pb1 Pb 0.500 0.000 0.206 1
Pb2 Pb 0.500 0.000 0.456 1
Pb3 Pb 0.500 0.127 0.827 1
```

Entry 11:
Ac2TaPb: simulated powder X-ray diffraction pattern (Cu Kα, 1.54184 Å), based on a GGA-PBE-relaxed structure.

Main lines, low angle first (2θ = 10–80°):
| 2θ/deg | d_spacing | I_rel | index |
| --- | --- | --- | --- |
| 29.32 | 3.046 | 66.5 | 0 0 12 |
| 29.67 | 3.011 | 35.9 | 1 0 1 |
| 29.98 | 2.981 | 100.0 | 0 1 2 |
| 32.05 | 2.792 | 40.4 | 0 1 5 |
| 34.29 | 2.615 | 31.2 | 1 0 7 |
| 38.66 | 2.329 | 56.2 | 1 0 10 |
| 40.35 | 2.235 | 17.3 | 0 1 11 |
| 45.94 | 1.975 | 28.7 | 0 1 14 |
| 52.45 | 1.744 | 41.0 | 1 1 0 |
| 61.23 | 1.514 | 51.8 | 1 1 12 |

Structure:
```
data_Ac2TaPb
_symmetry_space_group_name_H-M 'R -3 m'
_symmetry_Int_Tables_number 166
_symmetry_space_group_name_Hall '-R 3 2"'
_cell_length_a 3.4889
_cell_length_b 3.4889
_cell_length_c 36.5485
_cell_angle_alpha 90.00
_cell_angle_beta 90.00
_cell_angle_gamma 120.00
loop_
_atom_site_label
_atom_site_type_symbol
_atom_site_fract_x
_atom_site_fract_y
_atom_site_fract_z
_atom_site_occupancy
Ac1 Ac 0.0000 0.0000 0.0843 1
Ta1 Ta 0.0000 0.0000 0.0000 1
Pb1 Pb 0.0000 0.0000 0.5000 1
```

Entry 12:
Ac3TbPb4: simulated powder X-ray diffraction pattern (Cu Kα, 1.54184 Å), based on a GGA-PBE-relaxed structure.

Main lines, low angle first (2θ = 10–80°):
| 2θ/deg | d_spacing | I_rel | index |
| --- | --- | --- | --- |
| 27.28 | 3.269 | 9.5 | 1 0 3 |
| 30.66 | 2.916 | 60.2 | 1 1 0 |
| 31.06 | 2.879 | 100.0 | 1 0 4 |
| 43.91 | 2.062 | 23.0 | 2 0 0 |
| 50.57 | 1.805 | 8.6 | 1 1 7 |
| 54.76 | 1.676 | 41.9 | 2 1 4 |
| 55.52 | 1.655 | 12.3 | 1 1 8 |
| 64.76 | 1.439 | 8.1 | 2 0 8 |
| 72.48 | 1.304 | 10.8 | 3 1 0 |
| 72.69 | 1.301 | 9.2 | 3 0 4 |

Structure:
```
data_Ac3TbPb4
_symmetry_space_group_name_H-M 'P 4/m m m'
_symmetry_Int_Tables_number 123
_symmetry_space_group_name_Hall '-P 4 2'
_cell_length_a 4.124
_cell_length_b 4.124
_cell_length_c 16.085
_cell_angle_alpha 90.00
_cell_angle_beta 90.00
_cell_angle_gamma 90.00
loop_
_atom_site_label
_atom_site_type_symbol
_atom_site_fract_x
_atom_site_fract_y
_atom_site_fract_z
_atom_site_occupancy
Ac1 Ac 0.000 0.000 0.000 1
Ac2 Ac 0.000 0.000 0.266 1
Tb1 Tb 0.000 0.000 0.500 1
Pb1 Pb 0.500 0.500 0.135 1
Pb2 Pb 0.500 0.500 0.399 1
```

Entry 13:
Ac2TbPb3: simulated powder X-ray diffraction pattern (Cu Kα, 1.54184 Å), based on a GGA-PBE-relaxed structure.

Main lines, low angle first (2θ = 10–80°):
| 2θ/deg | d_spacing | I_rel | index |
| --- | --- | --- | --- |
| 26.38 | 3.378 | 58.1 | 0 2 0 |
| 27.91 | 3.197 | 100.0 | 2 0 2 |
| 32.45 | 2.759 | 32.8 | 6 0 0 |
| 38.78 | 2.322 | 85.0 | 2 2 2 |
| 42.30 | 2.137 | 32.2 | 6 2 0 |
| 54.07 | 1.696 | 16.8 | 2 2 -4 |
| 55.16 | 1.665 | 14.1 | 8 0 2 |
| 57.68 | 1.598 | 13.2 | 4 0 4 |
| 62.15 | 1.494 | 41.6 | 2 4 2 |
| 64.50 | 1.445 | 18.9 | 4 2 4 |

Structure:
```
data_Ac2TbPb3
_symmetry_space_group_name_H-M 'C 1 2/c 1'
_symmetry_Int_Tables_number 15
_cell_length_a 17.010
_cell_length_b 6.757
_cell_length_c 7.844
_cell_angle_alpha 90.00
_cell_angle_beta 103.32
_cell_angle_gamma 90.00
loop_
_symmetry_equiv_pos_as_xyz
'x,y,z'
'-x,-y,-z'
'-x,y,-z+1/2'
'x,-y,z+1/2'
'x+1/2,y+1/2,z'
'-x+1/2,-y+1/2,-z'
'-x+1/2,y+1/2,-z+1/2'
'x+1/2,-y+1/2,z+1/2'
loop_
_atom_site_label
_atom_site_type_symbol
_atom_site_fract_x
_atom_site_fract_y
_atom_site_fract_z
_atom_site_occupancy
Ac1 Ac 0.169 0.002 0.084 1
Tb1 Tb 0.000 0.496 0.750 1
Pb1 Pb 0.000 0.005 0.250 1
Pb2 Pb 0.157 0.498 0.578 1
```